Record 1
Calculated PXRD pattern
Compound: ErH8Rh2Pb
Radiation: Cu Kα, 1.54184 Å
Structure: DFT lattice parameters and positions (PBE)
Intensities are scaled so that the largest is 1000.

Main lines, by angle (2θ = 15–90°):
| d (Å) | 2θ (°) | I/Imax |
| --- | --- | --- |
| 3.120 | 28.6 | 1000 |
| 2.391 | 37.6 | 482 |
| 2.058 | 44.0 | 318 |
| 1.718 | 53.3 | 181 |
| 1.560 | 59.2 | 127 |
| 1.487 | 62.5 | 215 |
| 1.319 | 71.5 | 151 |
| 1.243 | 76.7 | 121 |

```
data_ErH8Rh2Pb
_space_group_name_H-M_alt 'R -3 m'
_space_group_IT_number 166
_space_group_name_Hall '-R 3 2"'
_cell_length_a 4.1162
_cell_length_b 4.1162
_cell_length_c 25.7950
_cell_angle_alpha 90.00
_cell_angle_beta 90.00
_cell_angle_gamma 120.00
loop_
_atom_site_label
_atom_site_fract_x
_atom_site_fract_y
_atom_site_fract_z
Er1 0.0000 0.0000 0.0000
H1 0.0000 0.0000 0.1883
H2 0.0416 0.5208 0.0433
Rh1 0.0000 0.0000 0.2548
Pb1 0.0000 0.0000 0.5000
```

Record 2
Calculated PXRD pattern
Compound: ErH7Pd5
Radiation: Cu Kα, 1.54184 Å
Structure: DFT lattice parameters and positions (PBE)
Intensities are scaled so that the largest is 1000.

Main lines, by angle (2θ = 15–90°):
| d (Å) | 2θ (°) | I/Imax |
| --- | --- | --- |
| 2.783 | 32.2 | 569 |
| 2.464 | 36.5 | 328 |
| 2.446 | 36.7 | 1000 |
| 2.427 | 37.0 | 475 |
| 2.420 | 37.2 | 323 |
| 2.378 | 37.8 | 289 |
| 2.352 | 38.3 | 450 |
| 2.290 | 39.3 | 299 |

```
data_ErH7Pd5
_space_group_name_H-M_alt 'P 1'
_space_group_IT_number 1
_cell_length_a 5.572
_cell_length_b 5.575
_cell_length_c 5.644
_cell_angle_alpha 117.53
_cell_angle_beta 92.71
_cell_angle_gamma 118.50
loop_
_space_group_symop_operation_xyz
'x,y,z'
loop_
_atom_site_label
_atom_site_fract_x
_atom_site_fract_y
_atom_site_fract_z
Er1 0.000 0.000 0.000
H1 0.019 0.465 0.052
H2 0.052 0.746 0.560
H3 0.085 0.274 0.492
H4 0.453 0.514 0.277
H5 0.491 0.000 0.005
H6 0.492 0.984 0.480
H7 0.645 0.459 0.898
Pd1 0.273 0.145 0.601
Pd2 0.378 0.691 0.597
Pd3 0.442 0.740 0.118
Pd4 0.745 0.450 0.226
Pd5 0.862 0.326 0.698
```

Record 3
Calculated PXRD pattern
Compound: Er2HPd
Radiation: Cu Kα, 1.54184 Å
Structure: DFT lattice parameters and positions (PBE)
Intensities are scaled so that the largest is 1000.

Main lines, by angle (2θ = 15–90°):
| d (Å) | 2θ (°) | I/Imax |
| --- | --- | --- |
| 3.488 | 25.5 | 168 |
| 3.284 | 27.2 | 296 |
| 2.971 | 30.1 | 158 |
| 2.391 | 37.6 | 1000 |
| 2.322 | 38.8 | 501 |
| 1.642 | 56.0 | 208 |
| 1.395 | 67.1 | 175 |
| 1.353 | 69.4 | 329 |

```
data_Er2HPd
_space_group_name_H-M_alt 'P 4/m m m'
_space_group_IT_number 123
_space_group_name_Hall '-P 4 2'
_cell_length_a 3.284
_cell_length_b 3.284
_cell_length_c 6.977
_cell_angle_alpha 90.00
_cell_angle_beta 90.00
_cell_angle_gamma 90.00
loop_
_atom_site_label
_atom_site_fract_x
_atom_site_fract_y
_atom_site_fract_z
Er1 0.000 0.000 0.240
H1 0.500 0.500 0.000
Pd1 0.500 0.500 0.500
```

Record 4
Calculated PXRD pattern
Compound: PrEr2H8
Radiation: Cu Kα, 1.54184 Å
Structure: DFT lattice parameters and positions (PBE)
Intensities are scaled so that the largest is 1000.

Main lines, by angle (2θ = 15–90°):
| d (Å) | 2θ (°) | I/Imax |
| --- | --- | --- |
| 3.008 | 29.7 | 1000 |
| 2.628 | 34.1 | 172 |
| 2.594 | 34.6 | 330 |
| 1.846 | 49.4 | 257 |
| 1.834 | 49.7 | 126 |
| 1.581 | 58.4 | 151 |
| 1.566 | 59.0 | 289 |
| 1.504 | 61.7 | 126 |

```
data_PrEr2H8
_space_group_name_H-M_alt 'I m m m'
_space_group_IT_number 71
_space_group_name_Hall '-I 2 2'
_cell_length_a 3.665
_cell_length_b 5.257
_cell_length_c 11.011
_cell_angle_alpha 90.00
_cell_angle_beta 90.00
_cell_angle_gamma 90.00
loop_
_atom_site_label
_atom_site_fract_x
_atom_site_fract_y
_atom_site_fract_z
Pr1 0.000 0.000 0.000
Er1 0.000 0.000 0.329
H1 0.000 0.209 0.500
H2 0.000 0.269 0.167
H3 0.000 0.500 0.342
```

Record 5
Calculated PXRD pattern
Compound: Pr3ErH8
Radiation: Cu Kα, 1.54184 Å
Structure: DFT lattice parameters and positions (PBE)
Intensities are scaled so that the largest is 1000.

Main lines, by angle (2θ = 15–90°):
| d (Å) | 2θ (°) | I/Imax |
| --- | --- | --- |
| 3.133 | 28.5 | 1000 |
| 2.713 | 33.0 | 489 |
| 1.918 | 47.4 | 383 |
| 1.636 | 56.2 | 448 |
| 1.566 | 59.0 | 127 |
| 1.245 | 76.5 | 180 |
| 1.213 | 78.9 | 164 |
| 1.108 | 88.2 | 131 |

```
data_Pr3ErH8
_space_group_name_H-M_alt 'P m -3 m'
_space_group_IT_number 221
_space_group_name_Hall '-P 4 2 3'
_cell_length_a 5.426
_cell_length_b 5.426
_cell_length_c 5.426
_cell_angle_alpha 90.00
_cell_angle_beta 90.00
_cell_angle_gamma 90.00
loop_
_atom_site_label
_atom_site_fract_x
_atom_site_fract_y
_atom_site_fract_z
Pr1 0.000 0.000 0.500
Er1 0.500 0.500 0.500
H1 0.261 0.261 0.261
```

Record 6
Calculated PXRD pattern
Compound: Er2SiHPt6
Radiation: Cu Kα, 1.54184 Å
Structure: DFT lattice parameters and positions (PBE)
Intensities are scaled so that the largest is 1000.

Main lines, by angle (2θ = 15–90°):
| d (Å) | 2θ (°) | I/Imax |
| --- | --- | --- |
| 2.979 | 30.0 | 318 |
| 2.883 | 31.0 | 195 |
| 2.545 | 35.3 | 154 |
| 2.352 | 38.3 | 1000 |
| 2.262 | 39.8 | 168 |
| 2.140 | 42.2 | 655 |
| 1.407 | 66.4 | 236 |
| 1.208 | 79.3 | 124 |

```
data_Er2SiHPt6
_space_group_name_H-M_alt 'C 1 2/m 1'
_space_group_IT_number 12
_cell_length_a 9.752
_cell_length_b 5.629
_cell_length_c 6.793
_cell_angle_alpha 90.00
_cell_angle_beta 118.70
_cell_angle_gamma 90.00
loop_
_space_group_symop_operation_xyz
'x,y,z'
'-x,-y,-z'
'-x,y,-z'
'x,-y,z'
'x+1/2,y+1/2,z'
'-x+1/2,-y+1/2,-z'
'-x+1/2,y+1/2,-z'
'x+1/2,-y+1/2,z'
loop_
_atom_site_label
_atom_site_fract_x
_atom_site_fract_y
_atom_site_fract_z
Er1 0.215 0.000 0.145
Si1 0.000 0.500 0.000
H1 0.000 0.000 0.500
Pt1 0.017 0.252 0.299
Pt2 0.235 0.000 0.700
```

Record 7
Calculated PXRD pattern
Compound: ErH6Rh2
Radiation: Cu Kα, 1.54184 Å
Structure: DFT lattice parameters and positions (PBE)
Intensities are scaled so that the largest is 1000.

Main lines, by angle (2θ = 15–90°):
| d (Å) | 2θ (°) | I/Imax |
| --- | --- | --- |
| 4.076 | 21.8 | 557 |
| 3.260 | 27.4 | 1000 |
| 2.956 | 30.2 | 697 |
| 2.560 | 35.1 | 716 |
| 2.522 | 35.6 | 644 |
| 2.340 | 38.5 | 935 |
| 2.212 | 40.8 | 883 |
| 1.820 | 50.1 | 258 |

```
data_ErH6Rh2
_space_group_name_H-M_alt 'C 1 2/m 1'
_space_group_IT_number 12
_cell_length_a 8.358
_cell_length_b 3.639
_cell_length_c 6.160
_cell_angle_alpha 90.00
_cell_angle_beta 118.71
_cell_angle_gamma 90.00
loop_
_space_group_symop_operation_xyz
'x,y,z'
'-x,-y,-z'
'-x,y,-z'
'x,-y,z'
'x+1/2,y+1/2,z'
'-x+1/2,-y+1/2,-z'
'-x+1/2,y+1/2,-z'
'x+1/2,-y+1/2,z'
loop_
_atom_site_label
_atom_site_fract_x
_atom_site_fract_y
_atom_site_fract_z
Er1 0.000 0.000 0.000
H1 0.003 0.000 0.654
H2 0.176 0.500 0.055
H3 0.208 0.500 0.622
Rh1 0.201 0.000 0.635
```

Record 8
Calculated PXRD pattern
Compound: ErH6Rh5
Radiation: Cu Kα, 1.54184 Å
Structure: DFT lattice parameters and positions (PBE)
Intensities are scaled so that the largest is 1000.

Main lines, by angle (2θ = 15–90°):
| d (Å) | 2θ (°) | I/Imax |
| --- | --- | --- |
| 2.426 | 37.1 | 785 |
| 2.421 | 37.1 | 768 |
| 2.392 | 37.6 | 739 |
| 2.381 | 37.8 | 730 |
| 2.106 | 43.0 | 539 |
| 2.071 | 43.7 | 1000 |
| 1.481 | 62.7 | 332 |
| 1.260 | 75.4 | 190 |

```
data_ErH6Rh5
_space_group_name_H-M_alt 'P -1'
_space_group_IT_number 2
_cell_length_a 5.099
_cell_length_b 5.123
_cell_length_c 5.127
_cell_angle_alpha 60.11
_cell_angle_beta 79.82
_cell_angle_gamma 69.03
loop_
_space_group_symop_operation_xyz
'x,y,z'
'-x,-y,-z'
loop_
_atom_site_label
_atom_site_fract_x
_atom_site_fract_y
_atom_site_fract_z
Er1 0.000 0.000 0.000
H1 0.236 0.521 0.421
H2 0.239 0.948 0.578
H3 0.297 0.268 0.997
Rh1 0.001 0.662 0.674
Rh2 0.500 0.165 0.668
Rh3 0.500 0.500 0.000
```

Record 9
Calculated PXRD pattern
Compound: ErH8Rh4
Radiation: Cu Kα, 1.54184 Å
Structure: DFT lattice parameters and positions (PBE)
Intensities are scaled so that the largest is 1000.

Main lines, by angle (2θ = 15–90°):
| d (Å) | 2θ (°) | I/Imax |
| --- | --- | --- |
| 4.653 | 19.1 | 680 |
| 4.610 | 19.3 | 488 |
| 2.422 | 37.1 | 694 |
| 2.327 | 38.7 | 517 |
| 2.305 | 39.1 | 1000 |
| 2.046 | 44.3 | 367 |
| 2.021 | 44.9 | 355 |
| 2.008 | 45.1 | 348 |

```
data_ErH8Rh4
_space_group_name_H-M_alt 'P -1'
_space_group_IT_number 2
_cell_length_a 5.579
_cell_length_b 5.655
_cell_length_c 5.824
_cell_angle_alpha 91.04
_cell_angle_beta 118.32
_cell_angle_gamma 119.43
loop_
_space_group_symop_operation_xyz
'x,y,z'
'-x,-y,-z'
loop_
_atom_site_label
_atom_site_fract_x
_atom_site_fract_y
_atom_site_fract_z
Er1 0.000 0.000 0.000
H1 0.060 0.348 0.769
H2 0.071 0.271 0.371
H3 0.429 0.728 0.632
H4 0.445 0.669 0.225
Rh1 0.000 0.500 0.000
Rh2 0.000 0.500 0.500
Rh3 0.500 0.500 0.000
Rh4 0.500 0.500 0.500
```

Record 10
Calculated PXRD pattern
Compound: ErHRu
Radiation: Cu Kα, 1.54184 Å
Structure: DFT lattice parameters and positions (PBE)
Intensities are scaled so that the largest is 1000.

Main lines, by angle (2θ = 15–90°):
| d (Å) | 2θ (°) | I/Imax |
| --- | --- | --- |
| 3.396 | 26.2 | 365 |
| 2.821 | 31.7 | 564 |
| 2.579 | 34.8 | 684 |
| 2.520 | 35.6 | 689 |
| 2.491 | 36.1 | 1000 |
| 2.255 | 40.0 | 196 |
| 2.207 | 40.9 | 231 |
| 1.698 | 54.0 | 201 |

```
data_ErHRu
_space_group_name_H-M_alt 'F d d 2'
_space_group_IT_number 43
_space_group_name_Hall 'F 2 -2d'
_cell_length_a 8.533
_cell_length_b 15.037
_cell_length_c 5.490
_cell_angle_alpha 90.00
_cell_angle_beta 90.00
_cell_angle_gamma 90.00
loop_
_atom_site_label
_atom_site_fract_x
_atom_site_fract_y
_atom_site_fract_z
Er1 0.075 0.209 0.000
H1 0.009 0.144 0.583
Ru1 0.031 0.417 0.804
```

Record 11
Calculated PXRD pattern
Compound: Er2H2Ru
Radiation: Cu Kα, 1.54184 Å
Structure: DFT lattice parameters and positions (PBE)
Intensities are scaled so that the largest is 1000.

Main lines, by angle (2θ = 15–90°):
| d (Å) | 2θ (°) | I/Imax |
| --- | --- | --- |
| 3.357 | 26.6 | 359 |
| 3.282 | 27.2 | 163 |
| 2.373 | 37.9 | 513 |
| 2.347 | 38.4 | 1000 |
| 1.923 | 47.3 | 156 |
| 1.678 | 54.7 | 181 |
| 1.365 | 68.8 | 359 |
| 1.350 | 69.7 | 169 |

```
data_Er2H2Ru
_space_group_name_H-M_alt 'P 4/m m m'
_space_group_IT_number 123
_space_group_name_Hall '-P 4 2'
_cell_length_a 3.357
_cell_length_b 3.357
_cell_length_c 6.565
_cell_angle_alpha 90.00
_cell_angle_beta 90.00
_cell_angle_gamma 90.00
loop_
_atom_site_label
_atom_site_fract_x
_atom_site_fract_y
_atom_site_fract_z
Er1 0.000 0.000 0.243
H1 0.000 0.500 0.000
Ru1 0.500 0.500 0.500
```

Record 12
Calculated PXRD pattern
Compound: Er4SiHS2
Radiation: Cu Kα, 1.54184 Å
Structure: DFT lattice parameters and positions (PBE)
Intensities are scaled so that the largest is 1000.

Main lines, by angle (2θ = 15–90°):
| d (Å) | 2θ (°) | I/Imax |
| --- | --- | --- |
| 3.177 | 28.1 | 827 |
| 3.162 | 28.2 | 799 |
| 2.756 | 32.5 | 519 |
| 2.739 | 32.7 | 1000 |
| 1.943 | 46.8 | 913 |
| 1.660 | 55.3 | 258 |
| 1.656 | 55.5 | 252 |
| 1.649 | 55.7 | 234 |

```
data_Er4SiHS2
_space_group_name_H-M_alt 'F m m 2'
_space_group_IT_number 42
_space_group_name_Hall 'F 2 -2'
_cell_length_a 7.719
_cell_length_b 11.025
_cell_length_c 7.775
_cell_angle_alpha 90.00
_cell_angle_beta 90.00
_cell_angle_gamma 90.00
loop_
_atom_site_label
_atom_site_fract_x
_atom_site_fract_y
_atom_site_fract_z
Er1 0.000 0.247 0.000
Er2 0.234 0.000 0.261
Si1 0.000 0.000 0.994
H1 0.000 0.000 0.458
S1 0.250 0.250 0.251
```